(1)
For Ce2Er8Tm3, a crystal structure in Alexandria, relaxed with PBE gives the calculated X-ray diffraction stick pattern in this record (Cu Kα).

Cell and atoms:
```
Ce2Er8Tm3
1.0
7.2911 -4.5210 0.0000
7.2911 4.5210 0.0000
-2.1086 0.0000 6.3657
Ce Er Tm
2 8 3
direct
0.2160 0.2160 0.4132
0.7840 0.7840 0.5868
0.1902 0.1902 0.8870
0.1990 0.5654 0.8232
0.4177 0.4177 0.2735
0.4346 0.8010 0.1768
0.5654 0.1990 0.8232
0.5823 0.5823 0.7265
0.8010 0.4346 0.1768
0.8098 0.8098 0.1130
0.0000 0.0000 0.0000
0.1725 0.8275 0.5000
0.8275 0.1725 0.5000
```

Main lines, in order of rising 2θ (2θ = 5–70°):
2theta  I/Imax
25.17  32
29.46  69
31.65  78
32.33  100
32.64  70
33.53  33
33.86  76
35.58  36
35.96  33
61.54  32



(2)
For CeEr4Tm10, a crystal structure in Alexandria, relaxed with PBE gives the calculated X-ray diffraction stick pattern in this record (Cu Kα).

Cell and atoms:
```
CeEr4Tm10
1.0
-4.8289 4.8289 5.2201
4.8289 -4.8289 5.2201
4.8289 4.8289 -5.2201
Ce Er Tm
1 4 10
direct
0.0000 0.0000 0.0000
0.2198 0.4501 0.6700
0.4501 0.7802 0.2303
0.5499 0.2198 0.7697
0.7802 0.5499 0.3300
0.0432 0.3812 0.0888
0.0457 0.9568 0.3380
0.2500 0.7500 0.5000
0.2924 0.9544 0.9112
0.3812 0.2924 0.3380
0.6188 0.7076 0.6620
0.7076 0.0457 0.0888
0.7500 0.2500 0.5000
0.9544 0.0432 0.6620
0.9568 0.6188 0.9112
```

Main lines, in order of rising 2θ (2θ = 5–70°):
2theta  I/Imax
27.24  36
29.03  25
29.24  87
31.30  22
33.06  100
34.01  49
41.83  30
42.59  27
61.32  19
67.74  23



(3)
For CeEr2Tm12, a crystal structure in Alexandria, relaxed with PBE gives the calculated X-ray diffraction stick pattern in this record (Cu Kα).

Cell and atoms:
```
CeEr2Tm12
1.0
6.3073 0.0000 0.0000
0.0000 6.3073 0.0000
0.0000 0.0000 24.7554
Ce Er Tm
2 4 24
direct
0.2500 0.7500 0.0000
0.7500 0.2500 0.0000
0.2500 0.7500 0.2767
0.2500 0.7500 0.7233
0.7500 0.2500 0.2767
0.7500 0.2500 0.7233
0.0672 0.5672 0.1178
0.0672 0.9328 0.8822
0.0806 0.5806 0.5602
0.0806 0.9194 0.4398
0.2500 0.2500 0.2164
0.2500 0.2500 0.3411
0.2500 0.2500 0.6589
0.2500 0.2500 0.7836
0.4194 0.5806 0.4398
0.4194 0.9194 0.5602
0.4328 0.5672 0.8822
0.4328 0.9328 0.1178
0.5672 0.0672 0.8822
0.5672 0.4328 0.1178
0.5806 0.0806 0.4398
0.5806 0.4194 0.5602
0.7500 0.7500 0.2164
0.7500 0.7500 0.3411
0.7500 0.7500 0.6589
0.7500 0.7500 0.7836
0.9194 0.0806 0.5602
0.9194 0.4194 0.4398
0.9328 0.0672 0.1178
0.9328 0.4328 0.8822
```

Main lines, in order of rising 2θ (2θ = 5–70°):
2theta  I/Imax
21.17  23
29.22  56
30.34  44
31.85  37
32.31  77
32.56  100
34.96  28
36.67  37
40.45  37
57.04  39



(4)
For CeEr10Tm6, a crystal structure in Alexandria, relaxed with PBE gives the calculated X-ray diffraction stick pattern in this record (Cu Kα).

Cell and atoms:
```
CeEr10Tm6
1.0
9.5192 0.0000 0.0000
-4.7596 8.2439 0.0000
0.0000 0.0000 6.7155
Ce Er Tm
1 10 6
direct
0.0000 0.0000 0.0000
0.0000 0.2755 0.3184
0.0000 0.7245 0.6816
0.2755 0.0000 0.3184
0.2755 0.2755 0.6816
0.3333 0.6667 0.0000
0.3333 0.6667 0.5000
0.6667 0.3333 0.0000
0.6667 0.3333 0.5000
0.7245 0.0000 0.6816
0.7245 0.7245 0.3184
0.0000 0.3762 0.8051
0.0000 0.6238 0.1949
0.3762 0.0000 0.8051
0.3762 0.3762 0.1949
0.6238 0.0000 0.1949
0.6238 0.6238 0.8051
```

Main lines, in order of rising 2θ (2θ = 5–70°):
2theta  I/Imax
31.66  25
32.61  100
41.75  9
46.79  14
50.12  9
57.62  6
58.17  13
58.28  10
61.09  10
64.46  9



(5)
For CeEr7Tm3, a crystal structure in Alexandria, relaxed with PBE gives the calculated X-ray diffraction stick pattern in this record (Cu Kα).

Cell and atoms:
```
CeEr7Tm3
1.0
6.9492 0.0000 0.0000
-3.4746 6.0182 0.0000
0.0000 0.0000 8.4908
Ce Er Tm
1 7 3
direct
0.0000 0.0000 0.0000
0.0014 0.5007 0.0000
0.3287 0.1644 0.6694
0.3333 0.6667 0.6659
0.4993 0.5007 0.0000
0.4993 0.9986 0.0000
0.8356 0.1644 0.6694
0.8356 0.6713 0.6694
0.1656 0.3312 0.3331
0.1656 0.8344 0.3331
0.6688 0.8344 0.3331
```

Main lines, in order of rising 2θ (2θ = 5–70°):
2theta  I/Imax
14.72  4
18.07  5
25.66  4
31.56  100
36.60  51
52.73  36
62.74  32
62.84  11
65.86  9
66.02  3



(6)
For CeEr3Tm6, a crystal structure in Alexandria, relaxed with PBE gives the calculated X-ray diffraction stick pattern in this record (Cu Kα).

Cell and atoms:
```
CeEr3Tm6
1.0
7.0612 -3.1973 0.0000
7.0612 3.1973 0.0000
-4.9670 0.0000 7.1997
Ce Er Tm
1 3 6
direct
0.0000 0.0000 0.0000
0.0000 0.0000 0.5000
0.4939 0.4939 0.7675
0.5061 0.5061 0.2325
0.0068 0.4961 0.8231
0.2076 0.2076 0.4527
0.4961 0.0068 0.8231
0.5039 0.9932 0.1769
0.7924 0.7924 0.5473
0.9932 0.5039 0.1769
```

Main lines, in order of rising 2θ (2θ = 5–70°):
2theta  I/Imax
25.49  37
26.26  46
30.59  35
30.77  100
30.92  39
31.95  87
32.17  56
33.05  63
34.82  88
37.48  43



(7)
For CeEr8Tm5, a crystal structure in Alexandria, relaxed with PBE gives the calculated X-ray diffraction stick pattern in this record (Cu Kα).

Cell and atoms:
```
CeEr8Tm5
1.0
-4.7168 4.7168 4.9099
4.7168 -4.7168 4.9099
4.7168 4.7168 -4.9099
Ce Er Tm
1 8 5
direct
0.0000 0.0000 0.0000
0.1572 0.4126 0.0859
0.3267 0.0713 0.9141
0.4194 0.1684 0.3967
0.5874 0.6733 0.7446
0.7717 0.0227 0.6033
0.8316 0.2283 0.2510
0.9287 0.8428 0.2554
0.9773 0.5806 0.7490
0.2144 0.3174 0.6770
0.2500 0.7500 0.5000
0.4626 0.7856 0.1030
0.6404 0.5374 0.3230
0.6826 0.3596 0.8970
```

Main lines, in order of rising 2θ (2θ = 5–70°):
2theta  I/Imax
28.87  62
29.83  69
29.95  83
32.45  25
34.69  100
35.20  47
35.51  58
56.25  26
60.43  18
65.00  20



(8)
For CeEr4Tm5, a crystal structure in Alexandria, relaxed with PBE gives the calculated X-ray diffraction stick pattern in this record (Cu Kα).

Cell and atoms:
```
CeEr4Tm5
1.0
-5.2014 5.2014 2.8739
5.2014 -5.2014 2.8739
5.2014 5.2014 -2.8739
Ce Er Tm
1 4 5
direct
0.0000 0.0000 0.0000
0.0657 0.7400 0.3257
0.4143 0.7400 0.6743
0.7400 0.0657 0.3257
0.7400 0.4143 0.6743
0.0555 0.0555 0.6264
0.0555 0.4291 0.0000
0.4291 0.0555 0.0000
0.4291 0.4291 0.3736
0.5290 0.5290 0.0000
```

Main lines, in order of rising 2θ (2θ = 5–70°):
2theta  I/Imax
30.10  100
31.12  15
33.48  11
35.69  15
36.65  41
48.82  14
50.48  10
52.80  13
54.74  16
61.98  19